Computed powder diffraction line list
Compound: KMgAg2Br6
Radiation: Cu Kα (weighted mean of Kα1 and Kα2)
Structure: a crystal structure in Alexandria, relaxed with PBE
Neutral-atom scattering factors, no anomalous dispersion.

Structural model:
Unit cell a=9.8326 b=9.8326 c=8.9537 alpha=109.84 beta=109.84 gamma=82.44
Element x y z (fractional)
K1 0.1816 0.8184 0.7500
K2 0.8184 0.1816 0.2500
Mg1 0.1618 0.8382 0.2500
Mg2 0.8382 0.1618 0.7500
Ag1 0.2620 0.3555 0.8814
Ag2 0.3555 0.2620 0.3814
Ag3 0.6445 0.7380 0.6186
Ag4 0.7380 0.6445 0.1186
Br1 0.0708 0.1547 0.6770
Br2 0.1422 0.6390 0.9845
Br3 0.1547 0.0708 0.1770
Br4 0.3173 0.4389 0.6548
Br5 0.3610 0.8578 0.5155
Br6 0.4389 0.3173 0.1548
Br7 0.5611 0.6827 0.8452
Br8 0.6390 0.1422 0.4845
Br9 0.6827 0.5611 0.3452
Br10 0.8453 0.9292 0.8230
Br11 0.8578 0.3610 0.0155
Br12 0.9292 0.8453 0.3230

Top 6 peaks for 5° ≤ 2θ ≤ 70°, low angle first:
6.479 Å, I = 87
5.033 Å, I = 100
4.168 Å, I = 71
3.809 Å, I = 81
3.002 Å, I = 83
2.612 Å, I = 73